(1)
Diffraction record for Ba2UNiO6. The powder diffraction line list is computed, not measured: it uses a cell relaxed with GGA+U and Cu Kα.

Cell and atoms:
```
Ba2UNiO6
1.0
0.000 4.219 4.219
4.219 0.000 4.219
4.219 4.219 0.000
Ba U Ni O
2 1 1 6
Direct
0.250 0.250 0.250 Ba
0.750 0.750 0.750 Ba
0.000 0.000 0.000 U
0.500 0.500 0.500 Ni
0.248 0.248 0.752 O
0.248 0.752 0.248 O
0.248 0.752 0.752 O
0.752 0.248 0.248 O
0.752 0.248 0.752 O
0.752 0.752 0.248 O
```

Largest 6 diffraction maxima, in order of falling intensity, 10° ≤ 2θ ≤ 90°:
Position (°2θ), d/Å, I_rel
30.0, 2.983, 100
53.2, 1.722, 41
42.9, 2.109, 29
86.3, 1.128, 22
18.2, 4.871, 20
62.2, 1.492, 19

(2)
Diffraction record for NaNiP2HO7. The powder diffraction line list is computed, not measured: it uses a cell relaxed with GGA+U and Cu Kα.

Cell and atoms:
```
NaNiP2HO7
1.0
6.532 0.000 0.000
0.172 6.541 0.000
2.525 0.608 6.113
Na Ni P H O
2 2 4 2 14
Direct
0.231 0.118 0.255 Na
0.769 0.882 0.745 Na
0.288 0.641 0.610 Ni
0.712 0.359 0.390 Ni
0.168 0.619 0.136 P
0.256 0.143 0.716 P
0.744 0.857 0.284 P
0.832 0.381 0.864 P
0.453 0.802 0.192 H
0.547 0.198 0.808 H
0.014 0.207 0.874 O
0.044 0.421 0.252 O
0.224 0.960 0.606 O
0.278 0.708 0.281 O
0.328 0.615 0.903 O
0.364 0.330 0.550 O
0.383 0.093 0.870 O
0.617 0.907 0.130 O
0.636 0.670 0.450 O
0.672 0.385 0.097 O
0.722 0.292 0.719 O
0.776 0.040 0.394 O
0.956 0.579 0.748 O
0.986 0.793 0.126 O
```

Largest 6 diffraction maxima, in order of falling intensity, 10° ≤ 2θ ≤ 90°:
Position (°2θ), d/Å, I_rel
31.0, 2.881, 100
29.6, 3.021, 81
31.4, 2.849, 80
16.2, 5.455, 80
27.2, 3.273, 77
29.3, 3.049, 66

(3)
Diffraction record for Li6FeSn3P6O24. The powder diffraction line list is computed, not measured: it uses a cell relaxed with GGA+U and Cu Kα.

Cell and atoms:
```
Li6FeSn3P6O24
1.0
8.614 0.000 0.000
3.752 7.761 0.000
3.718 2.352 7.421
Li Fe Sn P O
6 1 3 6 24
Direct
0.000 0.000 0.000 Li
0.058 0.512 0.941 Li
0.269 0.856 0.631 Li
0.529 0.694 0.294 Li
0.729 0.396 0.166 Li
0.883 0.164 0.472 Li
0.904 0.538 0.315 Fe
0.081 0.712 0.496 Sn
0.385 0.022 0.793 Sn
0.599 0.232 0.008 Sn
0.185 0.134 0.189 P
0.326 0.632 0.086 P
0.503 0.416 0.601 P
0.674 0.956 0.410 P
0.789 0.827 0.916 P
0.997 0.311 0.729 P
0.015 0.305 0.197 O
0.065 0.441 0.741 O
0.141 0.115 0.738 O
0.155 0.577 0.148 O
0.163 0.997 0.381 O
0.196 0.063 0.043 O
0.318 0.784 0.899 O
0.342 0.698 0.215 O
0.361 0.182 0.119 O
0.362 0.608 0.578 O
0.426 0.267 0.638 O
0.485 0.954 0.558 O
0.506 0.473 0.054 O
0.576 0.364 0.758 O
0.623 0.889 0.853 O
0.647 0.136 0.251 O
0.663 0.422 0.422 O
0.739 0.788 0.351 O
0.778 0.982 0.973 O
0.784 0.652 0.080 O
0.804 0.969 0.479 O
0.846 0.275 0.916 O
0.940 0.368 0.563 O
0.976 0.787 0.773 O
```

Largest 6 diffraction maxima, in order of falling intensity, 10° ≤ 2θ ≤ 90°:
Position (°2θ), d/Å, I_rel
20.7, 4.292, 100
19.3, 4.589, 95
23.4, 3.804, 93
32.8, 2.733, 73
33.8, 2.652, 47
28.5, 3.135, 40

(4)
Diffraction record for LiFeF4. The powder diffraction line list is computed, not measured: it uses a cell relaxed with GGA+U and Cu Kα.

Cell and atoms:
```
LiFeF4
1.0
7.480 0.000 0.000
0.000 5.081 0.000
-1.472 0.000 7.225
Li Fe F
4 4 16
Direct
0.145 0.241 0.341 Li
0.145 0.259 0.841 Li
0.855 0.741 0.159 Li
0.855 0.759 0.659 Li
0.317 0.743 0.182 Fe
0.317 0.757 0.682 Fe
0.683 0.243 0.318 Fe
0.683 0.257 0.818 Fe
0.092 0.585 0.696 F
0.092 0.915 0.196 F
0.198 0.071 0.588 F
0.198 0.429 0.088 F
0.315 0.596 0.437 F
0.315 0.904 0.937 F
0.441 0.069 0.301 F
0.441 0.431 0.801 F
0.559 0.569 0.199 F
0.559 0.931 0.699 F
0.685 0.096 0.063 F
0.685 0.404 0.563 F
0.802 0.571 0.912 F
0.802 0.929 0.412 F
0.908 0.085 0.804 F
0.908 0.415 0.304 F
```

Largest 6 diffraction maxima, in order of falling intensity, 10° ≤ 2θ ≤ 90°:
Position (°2θ), d/Å, I_rel
21.3, 4.176, 100
53.1, 1.724, 47
12.1, 7.329, 36
25.2, 3.532, 36
30.1, 2.972, 31
24.6, 3.612, 29